Computed X-ray powder pattern of La4TlPt2 for Cu Kα X-rays, from a structure optimized by DFT (GGA-PBE).
Lines closer than 0.1° are merged.

Structure:
Unit cell a=7.5108 b=11.0946 c=4.9198 alpha=90.00 beta=90.00 gamma=90.00
Space group Pbam (No. 55)
Asymmetric unit:
La  0.1246  0.1930  0.0000 (multiplicity 4)
La  0.2363  0.9315  0.5000 (multiplicity 4)
Tl  0.0000  0.5000  0.0000 (multiplicity 2)
Pt  0.1038  0.6838  0.5000 (multiplicity 4)

Principal peaks in the range 2θ from 10° to 90°, in order of falling intensity:
Position (°2θ)  I (rel.)  (hkl)
32.55  100  1 3 1
31.02  97  2 1 1
36.53  53  0 0 2
34.47  47  1 4 0
14.24  43  1 1 0
34.11  39  2 2 1
39.47  31  3 2 0
51.10  31  1 4 2
51.37  23  4 2 0
64.67  20  4 2 2



Computed X-ray powder pattern of La2YPt for Cu Kα X-rays, from a structure optimized by DFT (GGA-PBE).
Lines closer than 0.1° are merged.

Structure:
Unit cell a=7.2681 b=10.3187 c=6.5938 alpha=90.00 beta=90.00 gamma=90.00
Space group Pnma (No. 62)
Asymmetric unit:
La  0.1786  0.0631  0.1750 (multiplicity 8)
Y  0.0333  0.2500  0.6547 (multiplicity 4)
Pt  0.1200  0.7500  0.9417 (multiplicity 4)

Principal peaks in the range 2θ from 10° to 90°, in order of falling intensity:
Position (°2θ)  I (rel.)  (hkl)
31.82  100  1 3 1
29.31  94  0 3 1
33.07  87  2 2 1
31.02  87  1 1 2
35.95  80  2 3 0
34.56  63  1 2 2
18.17  62  1 0 1
30.08  48  2 2 0
37.86  47  2 1 2
20.12  44  1 1 1



Computed X-ray powder pattern of La4Zn5Pt6 for Cu Kα X-rays, from a structure optimized by DFT (GGA-PBE).
Lines closer than 0.1° are merged.

Structure:
Unit cell a=4.1621 b=20.3825 c=15.4799 alpha=90.00 beta=90.00 gamma=90.00
Space group Cmc2_1 (No. 36)
Asymmetric unit:
La  0.0000  0.0056  0.0000 (multiplicity 4)
La  0.0000  0.0318  0.2573 (multiplicity 4)
La  0.0000  0.1646  0.7895 (multiplicity 4)
La  0.0000  0.1867  0.4268 (multiplicity 4)
Zn  0.0000  0.1510  0.1140 (multiplicity 4)
Zn  0.0000  0.3025  0.1010 (multiplicity 4)
Zn  0.0000  0.3404  0.7519 (multiplicity 4)
Zn  0.0000  0.3601  0.4721 (multiplicity 4)
Zn  0.0000  0.4404  0.1607 (multiplicity 4)
Pt  0.0000  0.1193  0.6035 (multiplicity 4)
Pt  0.0000  0.2156  0.9743 (multiplicity 4)
Pt  0.0000  0.2323  0.2411 (multiplicity 4)
Pt  0.0000  0.4218  0.8889 (multiplicity 4)
Pt  0.0000  0.4289  0.6189 (multiplicity 4)
Pt  0.0000  0.4406  0.3414 (multiplicity 4)

Principal peaks in the range 2θ from 10° to 90°, in order of falling intensity:
Position (°2θ)  I (rel.)  (hkl)
35.39  100  1 5 3
43.49  89  2 0 0
44.62  80  1 7 4
31.88  77  1 1 4
30.70  67  1 5 0
28.97  59  0 4 4
25.75  58  1 3 1
48.50  57  1 3 7
31.25  49  1 5 1
24.60  48  0 2 4



Computed X-ray powder pattern of La2ZnPt7 for Cu Kα X-rays, from a structure optimized by DFT (GGA-PBE).
Lines closer than 0.1° are merged.

Structure:
Unit cell a=3.9973 b=3.9973 c=12.5555 alpha=90.00 beta=90.00 gamma=90.00
Space group P-4m2 (No. 115)
Asymmetric unit:
La  0.0000  0.5000  0.2380 (multiplicity 2)
Zn  0.0000  0.0000  0.5000 (multiplicity 1)
Pt  0.0000  0.0000  0.0000 (multiplicity 1)
Pt  0.0000  0.5000  0.6428 (multiplicity 2)
Pt  0.0000  0.5000  0.8489 (multiplicity 2)
Pt  0.5000  0.5000  0.0000 (multiplicity 1)
Pt  0.5000  0.5000  0.5000 (multiplicity 1)

Principal peaks in the range 2θ from 10° to 90°, in order of falling intensity:
Position (°2θ)  I (rel.)  (hkl)
34.81  100  1 1 2
45.38  54  2 0 0
43.07  47  1 1 4
42.51  47  1 0 5
30.94  33  1 0 3
63.93  29  2 1 5
23.35  27  1 0 1
76.94  20  3 1 2
66.12  18  2 2 0
84.42  16  1 1 10



Computed X-ray powder pattern of La3Zn2Pt for Cu Kα X-rays, from a structure optimized by DFT (GGA-PBE).
Lines closer than 0.1° are merged.

Structure:
Unit cell a=12.9579 b=4.7523 c=10.4342 alpha=90.00 beta=90.00 gamma=90.00
Space group Pnma (No. 62)
Asymmetric unit:
La  0.0531  0.2500  0.1010 (multiplicity 4)
La  0.1077  0.7500  0.5667 (multiplicity 4)
La  0.2440  0.2500  0.7840 (multiplicity 4)
Zn  0.0076  0.7500  0.2852 (multiplicity 4)
Zn  0.1987  0.7500  0.9846 (multiplicity 4)
Pt  0.1167  0.2500  0.3688 (multiplicity 4)

Principal peaks in the range 2θ from 10° to 90°, in order of falling intensity:
Position (°2θ)  I (rel.)  (hkl)
31.88  100  0 1 3
34.60  68  4 1 1
37.86  58  0 2 0
32.86  37  3 1 2
41.88  28  2 1 4
24.75  26  2 1 1
16.10  26  2 0 1
10.89  25  1 0 1
43.39  22  5 1 2
38.24  21  3 1 3



Computed X-ray powder pattern of LaZn9Pt2 for Cu Kα X-rays, from a structure optimized by DFT (GGA-PBE).
Lines closer than 0.1° are merged.

Structure:
Unit cell a=10.7012 b=10.7012 c=6.9545 alpha=90.00 beta=90.00 gamma=90.00
Space group I4_1/amd (No. 141, origin choice 2)
Asymmetric unit:
La  0.0000  0.2500  0.3750 (multiplicity 4)
Zn  0.0000  0.2500  0.8750 (multiplicity 4)
Zn  0.1222  0.0432  0.6795 (multiplicity 32)
Pt  0.0000  0.0000  0.0000 (multiplicity 8)

Principal peaks in the range 2θ from 10° to 90°, in order of falling intensity:
Position (°2θ)  I (rel.)  (hkl)
44.28  100  5 0 1
46.04  99  4 2 2
32.81  88  3 2 1
37.07  85  3 1 2
37.59  65  4 2 0
22.55  57  2 1 1
39.79  55  1 0 3
15.19  44  1 0 1
43.37  41  2 1 3
33.50  40  4 0 0



Computed X-ray powder pattern of La3Zn6Pt5 for Cu Kα X-rays, from a structure optimized by DFT (GGA-PBE).
Lines closer than 0.1° are merged.

Structure:
Unit cell a=4.3181 b=13.0351 c=9.6952 alpha=90.00 beta=90.00 gamma=90.00
Space group Pmmn (No. 59, origin choice 2)
Asymmetric unit:
La  0.2500  0.0598  0.2487 (multiplicity 4)
La  0.2500  0.7500  0.2654 (multiplicity 2)
Zn  0.2500  0.0665  0.5844 (multiplicity 4)
Zn  0.2500  0.2500  0.0253 (multiplicity 2)
Zn  0.2500  0.2500  0.4497 (multiplicity 2)
Zn  0.2500  0.6024  0.9856 (multiplicity 4)
Pt  0.2500  0.0901  0.8600 (multiplicity 4)
Pt  0.2500  0.6374  0.5450 (multiplicity 4)
Pt  0.2500  0.7500  0.7992 (multiplicity 2)

Principal peaks in the range 2θ from 10° to 90°, in order of falling intensity:
Position (°2θ)  I (rel.)  (hkl)
34.65  100  1 3 2
41.84  34  2 0 0
27.59  25  0 0 3
44.70  24  0 5 3
29.16  21  1 3 0
68.34  20  1 9 0
41.55  19  0 6 0
33.12  13  0 4 2
42.78  11  1 0 4
71.78  11  3 3 2



Computed X-ray powder pattern of La3Zn3Pt2 for Cu Kα X-rays, from a structure optimized by DFT (GGA-PBE).
Lines closer than 0.1° are merged.

Structure:
Unit cell a=4.4101 b=10.8123 c=16.0214 alpha=90.00 beta=90.00 gamma=90.00
Space group Cmcm (No. 63)
Asymmetric unit:
La  0.0000  0.1160  0.2500 (multiplicity 4)
La  0.0000  0.3813  0.0932 (multiplicity 8)
Zn  0.0000  0.0941  0.0492 (multiplicity 8)
Zn  0.0000  0.1748  0.7500 (multiplicity 4)
Pt  0.0000  0.3201  0.6143 (multiplicity 8)

Principal peaks in the range 2θ from 10° to 90°, in order of falling intensity:
Position (°2θ)  I (rel.)  (hkl)
31.28  100  1 1 4
39.35  98  1 3 4
40.93  55  2 0 0
32.57  49  1 3 1
33.57  44  0 0 6
33.14  35  0 4 0
53.66  31  2 4 0
35.61  28  1 1 5
32.07  27  1 3 0
17.31  24  0 2 1



Computed X-ray powder pattern of La5Zn4Pt for Cu Kα X-rays, from a structure optimized by DFT (GGA-PBE).
Lines closer than 0.1° are merged.

Structure:
Unit cell a=3.7603 b=3.7603 c=18.5716 alpha=90.00 beta=90.00 gamma=90.00
Space group P4/mmm (No. 123)
Asymmetric unit:
La  0.0000  0.0000  0.0000 (multiplicity 1)
La  0.0000  0.0000  0.2023 (multiplicity 2)
La  0.0000  0.0000  0.4074 (multiplicity 2)
Zn  0.5000  0.5000  0.1015 (multiplicity 2)
Zn  0.5000  0.5000  0.2999 (multiplicity 2)
Pt  0.5000  0.5000  0.5000 (multiplicity 1)

Principal peaks in the range 2θ from 10° to 90°, in order of falling intensity:
Position (°2θ)  I (rel.)  (hkl)
33.92  100  1 0 5
33.71  52  1 1 0
60.43  37  2 1 5
48.41  19  2 0 0
60.84  17  1 1 10
71.39  11  2 0 10
80.96  9  3 0 5
49.05  8  0 0 10
80.83  8  3 1 0
81.92  7  1 0 15



Computed X-ray powder pattern of LaZn4Pt4 for Cu Kα X-rays, from a structure optimized by DFT (GGA-PBE).
Lines closer than 0.1° are merged.

Structure:
Unit cell a=5.9218 b=5.9218 c=9.0259 alpha=90.00 beta=90.00 gamma=90.00
Space group P4_2/nmc (No. 137, origin choice 2)
Asymmetric unit:
La  0.2500  0.7500  0.2500 (multiplicity 2)
Zn  0.0283  0.2500  0.1660 (multiplicity 8)
Pt  0.0214  0.2500  0.4569 (multiplicity 8)

Principal peaks in the range 2θ from 10° to 90°, in order of falling intensity:
Position (°2θ)  I (rel.)  (hkl)
42.86  100  2 0 3
31.81  84  2 0 1
35.32  56  2 1 1
43.21  41  2 2 0
47.90  33  2 2 2
33.41  31  1 0 3
19.67  28  0 0 2
79.01  26  4 2 3
62.76  21  4 0 0
70.98  20  3 2 4



Computed X-ray powder pattern of LaPu for Cu Kα X-rays, from a structure optimized by DFT (GGA-PBE).
Lines closer than 0.1° are merged.

Structure:
Unit cell a=3.4113 b=4.2175 c=7.7977 alpha=90.00 beta=99.32 gamma=90.00
Space group P2_1/m (No. 11)
Asymmetric unit:
La  0.2023  0.2500  0.3101 (multiplicity 2)
Pu  0.3598  0.2500  0.9789 (multiplicity 2)

Principal peaks in the range 2θ from 10° to 90°, in order of falling intensity:
Position (°2θ)  I (rel.)  (hkl)
11.50  100  0 0 1
34.08  48  1 1 0
32.38  27  1 0 -2
34.98  27  0 0 3
30.66  22  1 0 1
42.89  18  0 2 0
60.50  18  2 1 -2
52.91  15  1 1 3
31.47  15  0 1 2
56.49  14  0 2 3